For Sm7Rh3, a DFT-relaxed cell (PBE, the Materials Project) gives the calculated powder XRD pattern in this record (a wavelength of 1.5418 Å).
Kinematic intensities with the Lorentz-polarization factor, no thermal factor.

Most intense lines, 5° ≤ 2θ ≤ 70°, by angle:
27.1 deg, I 11
30.3 deg, I 43
30.7 deg, I 100
30.8 deg, I 18
34.0 deg, I 55
35.3 deg, I 43
35.7 deg, I 38
39.7 deg, I 12
48.3 deg, I 14
54.1 deg, I 23
54.5 deg, I 23
54.7 deg, I 34

Atomic structure:
```
Sm7Rh3
1.0
5.029 -8.719 0.000
5.029 8.719 0.000
0.000 0.000 6.262
Sm Rh
14 6
Direct
0.042 0.584 0.500 Sm
0.042 0.958 0.500 Sm
0.167 0.833 0.983 Sm
0.250 0.375 0.695 Sm
0.375 0.250 0.195 Sm
0.375 0.625 0.195 Sm
0.416 0.958 0.500 Sm
0.584 0.042 0.000 Sm
0.625 0.375 0.695 Sm
0.625 0.750 0.695 Sm
0.750 0.625 0.195 Sm
0.833 0.167 0.483 Sm
0.958 0.042 0.000 Sm
0.958 0.416 0.000 Sm
0.124 0.312 0.266 Rh
0.312 0.124 0.766 Rh
0.312 0.688 0.766 Rh
0.688 0.312 0.266 Rh
0.688 0.876 0.266 Rh
0.876 0.688 0.766 Rh
```


For RbSmSe2, a DFT-relaxed cell (PBE, the Materials Project) gives the calculated powder XRD pattern in this record (a wavelength of 1.5418 Å).
Kinematic intensities with the Lorentz-polarization factor, no thermal factor.

Most intense lines, 5° ≤ 2θ ≤ 70°, by angle:
11.0 deg, I 25
24.9 deg, I 6
28.0 deg, I 100
35.4 deg, I 11
38.4 deg, I 34
41.7 deg, I 36
43.3 deg, I 5
48.2 deg, I 7
51.0 deg, I 19
58.0 deg, I 10
63.2 deg, I 11
67.9 deg, I 16

Atomic structure:
```
RbSmSe2
1.0
2.165 1.250 8.018
-2.165 1.250 8.018
0.000 -2.500 8.018
Rb Sm Se
1 1 2
Direct
0.000 0.000 0.000 Rb
0.500 0.500 0.500 Sm
0.233 0.233 0.233 Se
0.767 0.767 0.767 Se
```


For Na3InP2O8, a DFT-relaxed cell (PBE, the Materials Project) gives the calculated powder XRD pattern in this record (a wavelength of 1.5418 Å).
Kinematic intensities with the Lorentz-polarization factor, no thermal factor.

Most intense lines, 5° ≤ 2θ ≤ 70°, by angle:
12.4 deg, I 69
19.0 deg, I 26
22.7 deg, I 55
23.8 deg, I 36
31.5 deg, I 100
32.3 deg, I 50
34.7 deg, I 60
42.7 deg, I 13
46.3 deg, I 20
46.5 deg, I 14
57.2 deg, I 13
59.8 deg, I 15

Atomic structure:
```
Na3InP2O8
1.0
4.386 -2.768 0.000
4.386 2.768 0.000
-0.032 0.000 7.131
Na In P O
3 1 2 8
Direct
0.000 0.000 0.000 Na
0.312 0.312 0.784 Na
0.688 0.688 0.216 Na
0.000 0.000 0.500 In
0.346 0.346 0.277 P
0.654 0.654 0.723 P
0.224 0.682 0.279 O
0.244 0.244 0.455 O
0.250 0.250 0.098 O
0.318 0.776 0.721 O
0.682 0.224 0.279 O
0.750 0.750 0.902 O
0.756 0.756 0.545 O
0.776 0.318 0.721 O
```


For Nd2CuO4, a DFT-relaxed cell (PBE, the Materials Project) gives the calculated powder XRD pattern in this record (a wavelength of 1.5418 Å).
Kinematic intensities with the Lorentz-polarization factor, no thermal factor.

Most intense lines, 5° ≤ 2θ ≤ 70°, by angle:
24.3 deg, I 24
27.9 deg, I 12
31.4 deg, I 100
32.0 deg, I 32
34.2 deg, I 31
42.5 deg, I 19
42.9 deg, I 13
44.7 deg, I 12
47.5 deg, I 30
55.7 deg, I 12
56.6 deg, I 20
59.4 deg, I 17

Atomic structure:
```
Nd2CuO4
1.0
2.625 -6.398 0.000
2.625 6.398 0.000
0.000 0.000 5.597
Nd Cu O
4 2 8
Direct
0.139 0.861 0.982 Nd
0.361 0.639 0.482 Nd
0.639 0.361 0.518 Nd
0.861 0.139 0.018 Nd
0.000 0.000 0.500 Cu
0.500 0.500 0.000 Cu
0.187 0.813 0.574 O
0.233 0.267 0.750 O
0.267 0.233 0.250 O
0.313 0.687 0.074 O
0.687 0.313 0.926 O
0.733 0.767 0.750 O
0.767 0.733 0.250 O
0.813 0.187 0.426 O
```


For Tm2GeO5, a DFT-relaxed cell (PBE, the Materials Project) gives the calculated powder XRD pattern in this record (a wavelength of 1.5418 Å).
Kinematic intensities with the Lorentz-polarization factor, no thermal factor.

Most intense lines, 5° ≤ 2θ ≤ 70°, by angle:
16.2 deg, I 27
26.9 deg, I 24
29.2 deg, I 39
29.9 deg, I 100
31.4 deg, I 40
31.9 deg, I 89
32.6 deg, I 37
33.6 deg, I 50
44.7 deg, I 20
48.5 deg, I 42
57.9 deg, I 24
61.8 deg, I 25

Atomic structure:
```
Tm2GeO5
1.0
9.219 0.000 0.000
0.000 6.942 0.000
-1.569 0.000 6.502
Tm Ge O
8 4 20
Direct
0.029 0.128 0.229 Tm
0.029 0.372 0.729 Tm
0.360 0.137 0.031 Tm
0.360 0.363 0.531 Tm
0.640 0.637 0.469 Tm
0.640 0.863 0.969 Tm
0.971 0.628 0.271 Tm
0.971 0.872 0.771 Tm
0.301 0.595 0.022 Ge
0.301 0.905 0.522 Ge
0.699 0.095 0.478 Ge
0.699 0.405 0.978 Ge
0.105 0.639 0.990 O
0.105 0.861 0.490 O
0.109 0.113 0.926 O
0.109 0.387 0.426 O
0.281 0.085 0.319 O
0.281 0.415 0.819 O
0.390 0.071 0.712 O
0.390 0.429 0.212 O
0.392 0.694 0.485 O
0.392 0.806 0.985 O
0.608 0.194 0.015 O
0.608 0.306 0.515 O
0.610 0.571 0.788 O
0.610 0.929 0.288 O
0.719 0.585 0.181 O
0.719 0.915 0.681 O
0.891 0.613 0.574 O
0.891 0.887 0.074 O
0.895 0.139 0.510 O
0.895 0.361 0.010 O
```


For CsIn3O5, a DFT-relaxed cell (PBE, the Materials Project) gives the calculated powder XRD pattern in this record (a wavelength of 1.5418 Å).
Kinematic intensities with the Lorentz-polarization factor, no thermal factor.

Most intense lines, 5° ≤ 2θ ≤ 70°, by angle:
10.1 deg, I 53
26.5 deg, I 81
27.9 deg, I 69
28.1 deg, I 33
29.6 deg, I 53
32.0 deg, I 100
33.3 deg, I 51
35.5 deg, I 38
38.3 deg, I 62
53.9 deg, I 26
54.6 deg, I 30
57.0 deg, I 24

Atomic structure:
```
CsIn3O5
1.0
10.297 0.000 0.000
0.000 3.401 0.000
0.000 0.000 16.794
Cs In O
4 12 20
Direct
0.030 0.250 0.121 Cs
0.470 0.750 0.621 Cs
0.530 0.250 0.379 Cs
0.970 0.750 0.879 Cs
0.110 0.250 0.664 In
0.144 0.750 0.489 In
0.180 0.250 0.319 In
0.320 0.750 0.819 In
0.356 0.250 0.989 In
0.390 0.750 0.164 In
0.610 0.250 0.836 In
0.644 0.750 0.011 In
0.680 0.250 0.181 In
0.820 0.750 0.681 In
0.856 0.250 0.511 In
0.890 0.750 0.336 In
0.023 0.250 0.424 O
0.066 0.750 0.271 O
0.195 0.750 0.717 O
0.221 0.250 0.555 O
0.231 0.250 0.887 O
0.269 0.750 0.387 O
0.279 0.750 0.055 O
0.305 0.250 0.217 O
0.434 0.250 0.771 O
0.477 0.750 0.924 O
0.523 0.250 0.076 O
0.566 0.750 0.229 O
0.695 0.750 0.783 O
0.721 0.250 0.945 O
0.731 0.250 0.613 O
0.769 0.750 0.113 O
0.779 0.750 0.445 O
0.805 0.250 0.283 O
0.934 0.250 0.729 O
0.977 0.750 0.576 O
```